Simulated PXRD pattern
Compound: Mn6HO12
Radiation: CuKα
Structure: a PBE+U-relaxed structure
Intensities are scaled so that the largest is 100.

The 6 most intense peaks (5 to 70 degrees two-theta), by angle:
| two_theta | intensity |
| --- | --- |
| 22.42 | 49 |
| 23.50 | 100 |
| 31.40 | 67 |
| 36.03 | 70 |
| 41.52 | 44 |
| 54.54 | 53 |

Cell and atoms:
Cell: 5.5366 5.5366 13.8575 Å, 92.42 92.42 64.69°
Positions (direct):
Mn1 0.0970 0.8470 0.1868
Mn2 0.1089 0.3621 0.3449
Mn3 0.1196 0.8804 0.5000
Mn4 0.3401 0.5896 0.6905
Mn5 0.3621 0.1089 0.8449
Mn6 0.3690 0.6296 0.0001
Mn7 0.5896 0.3401 0.1905
Mn8 0.6087 0.8564 0.3431
Mn9 0.6296 0.3690 0.5001
Mn10 0.8470 0.0970 0.6868
Mn11 0.8564 0.6087 0.8431
Mn12 0.8804 0.1196 0.0000
H1 0.5801 0.8222 0.5905
H2 0.8222 0.5801 0.0905
O1 0.0024 0.7584 0.6123
O2 0.0243 0.7744 0.9397
O3 0.0312 0.2777 0.9135
O4 0.1881 0.4364 0.7735
O5 0.1951 0.9401 0.7508
O6 0.2160 0.9653 0.0744
O7 0.2523 0.5074 0.1126
O8 0.2777 0.0312 0.4135
O9 0.2782 0.5281 0.4392
O10 0.4364 0.1881 0.2735
O11 0.4413 0.6870 0.2496
O12 0.4722 0.7208 0.5778
O13 0.5074 0.2523 0.6126
O14 0.5274 0.7812 0.9140
O15 0.5281 0.2782 0.9392
O16 0.6870 0.4413 0.7496
O17 0.6895 0.9400 0.7739
O18 0.7208 0.4722 0.0778
O19 0.7584 0.0024 0.1123
O20 0.7744 0.0243 0.4397
O21 0.7812 0.5274 0.4140
O22 0.9401 0.1951 0.2508
O23 0.9400 0.6895 0.2739
O24 0.9653 0.2160 0.5744